Starting from a crystal structure in Alexandria, relaxed with GGA+U, the XRD peak list of KRb2MoO3F3 was simulated for Cu Kα.
No peak broadening, texture or thermal motion is included.

Top 6 peaks for 2θ from 10° to 80°, low angle first:
2θ (°)  I_rel  (hkl)
16.8  52  1 1 1
27.3  89  0 2 2
27.7  100  2 0 2
28.0  91  2 2 0
48.4  38  2 2 4
48.8  38  2 4 2

Crystal structure
Cell: 8.8924 9.1688 9.3113 Å, 90.00 90.00 90.00°
Space group Fmm2 (No. 42)
Asymmetric unit:
K: 0.0000 0.0000 0.0000
Rb: 0.2500 0.2500 0.2621
Mo: 0.0000 0.0000 0.5136
O: 0.0000 0.0000 0.7053
O: 0.2013 0.0000 0.4722
F: 0.0000 0.0000 0.2722
F: 0.0000 0.2213 0.4995